Theoretical powder diffractogram
Compound: Ca2Ta2NiO8
Radiation: copper Kα
Structure: a structure optimized by DFT (PBE+U)
Kinematic intensities with the Lorentz-polarization factor, no thermal factor.

Main lines, in order of rising 2θ (2θ = 15–90°):
- (4 0 0), 18.77 deg, intensity 65
- (5 1 0), 27.54 deg, intensity 73
- (5 1 -1), 31.77 deg, intensity 100
- (5 1 1), 32.48 deg, intensity 85
- (0 0 2), 32.78 deg, intensity 64
- (0 2 1), 32.94 deg, intensity 98

Atomic structure:
Cell: 18.922 6.270 5.466 Å, 90.00 91.65 90.00°
Space group C2/c (No. 15)
Asymmetric unit:
Ca  0.207  0.185  0.243 (multiplicity 8)
Ta  0.110  0.348  0.758 (multiplicity 8)
Ni  0.000  0.133  0.250 (multiplicity 4)
O  0.056  0.142  0.586 (multiplicity 8)
O  0.069  0.371  0.094 (multiplicity 8)
O  0.180  0.442  0.506 (multiplicity 8)
O  0.184  0.149  0.843 (multiplicity 8)